Diffraction record for LiNiPO4. The PXRD pattern is computed, not measured: it uses a GGA+U-relaxed structure and Cu Kα X-rays.

The 10 most intense peaks (2θ from 10° to 80°), low angle first:
2θ (°), intensity, h k l
15.5, 96, 1 1 0
22.0, 59, 2 1 0
22.1, 91, 0 1 1
23.9, 100, 1 1 1
25.5, 29, 2 0 1
29.9, 38, 3 1 0
36.2, 57, 4 0 0
36.3, 73, 2 2 1
36.6, 57, 0 0 2
65.7, 29, 2 2 3

Atomic structure:
Cell: 9.922 7.006 4.911 Å, 90.00 90.00 90.00°
Atoms (fractional coordinates):
Li1 0.162 0.008 0.000
Li2 0.338 0.508 0.500
Li3 0.662 0.492 0.000
Li4 0.838 0.992 0.500
Ni1 0.142 0.511 0.011
Ni2 0.358 0.011 0.511
Ni3 0.642 0.989 0.011
Ni4 0.858 0.489 0.511
P1 0.096 0.249 0.489
P2 0.404 0.749 0.989
P3 0.596 0.251 0.489
P4 0.904 0.751 0.989
O1 0.058 0.769 0.041
O2 0.128 0.255 0.179
O3 0.145 0.442 0.614
O4 0.170 0.075 0.612
O5 0.330 0.575 0.112
O6 0.355 0.942 0.114
O7 0.372 0.755 0.679
O8 0.442 0.269 0.541
O9 0.558 0.731 0.041
O10 0.628 0.245 0.179
O11 0.645 0.058 0.614
O12 0.670 0.425 0.612
O13 0.830 0.925 0.112
O14 0.855 0.558 0.114
O15 0.872 0.745 0.679
O16 0.942 0.231 0.541